1.
Structure and simulated XRD peak list of Ce2NdZn6 (a structure optimized by DFT (PBE); Cu Kα (weighted mean of Kα1 and Kα2)).
Peak positions follow from Bragg's law for the DFT cell and can differ from measured ones.

Cell and atoms:
a = 7.9969 Å, b = 7.9969 Å, c = 3.4227 Å
α = 90.00°, β = 90.00°, γ = 120.00°
Fractional positions:
Ce: 0.3333 0.6667 0.0000
Ce: 0.6667 0.3333 0.0000
Nd: 0.0000 0.0000 0.0000
Zn: 0.0000 0.3339 0.5000
Zn: 0.0000 0.6661 0.5000
Zn: 0.3339 0.0000 0.5000
Zn: 0.3339 0.3339 0.5000
Zn: 0.6661 0.0000 0.5000
Zn: 0.6661 0.6661 0.5000

The 12 most intense peaks (2θ from 10° to 90°), in order of rising 2θ:
2θ (°)	intensity
22.2	16
34.5	100
39.0	64
45.4	3
53.0	29
53.5	8
58.7	2
67.8	27
68.2	23
70.7	10
83.8	7
89.3	7

***

2.
Structure and simulated XRD peak list of Pm2PaGeO8 (a structure optimized by DFT (PBE); Cu Kα (weighted mean of Kα1 and Kα2)).
Peak positions follow from Bragg's law for the DFT cell and can differ from measured ones.

Cell and atoms:
a = 3.9214 Å, b = 5.4681 Å, c = 7.8843 Å
α = 81.94°, β = 87.41°, γ = 84.04°
Fractional positions:
Pm: 0.0128 0.0219 0.2450
Pm: 0.9872 0.9781 0.7550
Pa: 0.5000 0.5000 0.5000
Ge: 0.5000 0.5000 0.0000
O: 0.0238 0.7291 0.5303
O: 0.1344 0.7327 0.0276
O: 0.4551 0.3290 0.2157
O: 0.4569 0.2047 0.7022
O: 0.5431 0.7953 0.2978
O: 0.5449 0.6710 0.7843
O: 0.8656 0.2673 0.9724
O: 0.9762 0.2709 0.4697

The 12 most intense peaks (2θ from 10° to 90°), in order of rising 2θ:
2θ (°)	intensity
11.3	36
26.3	100
26.9	95
29.6	69
30.1	67
31.9	43
33.0	33
33.3	33
42.4	35
46.6	53
46.9	27
48.2	24

***

3.
Structure and simulated XRD peak list of K3CeSc3Se8 (a structure optimized by DFT (PBE); Cu Kα (weighted mean of Kα1 and Kα2)).
Peak positions follow from Bragg's law for the DFT cell and can differ from measured ones.

Cell and atoms:
a = 9.0274 Å, b = 9.0274 Å, c = 9.0274 Å
α = 52.95°, β = 52.95°, γ = 52.95°
Fractional positions:
K: 0.0000 0.5000 0.5000
K: 0.5000 0.0000 0.5000
K: 0.5000 0.5000 0.0000
Ce: 0.5000 0.5000 0.5000
Sc: 0.0000 0.0000 0.5000
Sc: 0.0000 0.5000 0.0000
Sc: 0.5000 0.0000 0.0000
Se: 0.2186 0.7394 0.7394
Se: 0.2313 0.2313 0.2313
Se: 0.2606 0.2606 0.7814
Se: 0.2606 0.7814 0.2606
Se: 0.7394 0.2186 0.7394
Se: 0.7394 0.7394 0.2186
Se: 0.7687 0.7687 0.7687
Se: 0.7814 0.2606 0.2606

The 12 most intense peaks (2θ from 10° to 90°), in order of rising 2θ:
2θ (°)	intensity
11.4	44
13.3	8
29.9	100
37.4	21
40.5	30
45.1	34
46.6	8
50.6	13
55.0	17
62.1	9
73.8	13
77.9	8

***

4.
Structure and simulated XRD peak list of Pm2AgTe (a structure optimized by DFT (PBE); Cu Kα (weighted mean of Kα1 and Kα2)).
Peak positions follow from Bragg's law for the DFT cell and can differ from measured ones.

Cell and atoms:
a = 4.2215 Å, b = 24.0894 Å, c = 4.6279 Å
α = 90.00°, β = 90.00°, γ = 90.00°
Fractional positions:
Pm: 0.0000 0.0627 0.2500
Pm: 0.0000 0.3242 0.2500
Pm: 0.0000 0.6758 0.7500
Pm: 0.0000 0.9373 0.7500
Pm: 0.5000 0.1758 0.7500
Pm: 0.5000 0.4373 0.7500
Pm: 0.5000 0.5627 0.2500
Pm: 0.5000 0.8242 0.2500
Ag: 0.0000 0.4607 0.2500
Ag: 0.0000 0.5393 0.7500
Ag: 0.5000 0.0393 0.7500
Ag: 0.5000 0.9607 0.2500
Te: 0.0000 0.1932 0.2500
Te: 0.0000 0.8068 0.7500
Te: 0.5000 0.3068 0.7500
Te: 0.5000 0.6932 0.2500

The 12 most intense peaks (2θ from 10° to 90°), in order of rising 2θ:
2θ (°)	intensity
28.9	100
29.7	40
30.8	13
33.6	14
35.6	13
39.0	97
42.8	22
49.7	19
53.0	16
59.3	16
67.7	15
70.5	12

***

5.
Structure and simulated XRD peak list of Cu2Pb3Br8 (a structure optimized by DFT (PBE); Cu Kα (weighted mean of Kα1 and Kα2)).
Peak positions follow from Bragg's law for the DFT cell and can differ from measured ones.

Cell and atoms:
a = 8.7142 Å, b = 8.7142 Å, c = 7.5215 Å
α = 106.61°, β = 106.61°, γ = 59.98°
Fractional positions:
Cu: 0.0962 0.0962 0.0658
Cu: 0.9038 0.9038 0.9342
Pb: 0.2405 0.7595 0.5000
Pb: 0.5000 0.5000 0.0000
Pb: 0.7595 0.2405 0.5000
Br: 0.1179 0.6432 0.7621
Br: 0.1235 0.1235 0.7682
Br: 0.3568 0.8821 0.2379
Br: 0.3813 0.3813 0.2612
Br: 0.6187 0.6187 0.7388
Br: 0.6432 0.1179 0.7621
Br: 0.8765 0.8765 0.2318
Br: 0.8821 0.3568 0.2379

The 12 most intense peaks (2θ from 10° to 90°), in order of rising 2θ:
2θ (°)	intensity
12.4	73
24.0	57
29.0	100
31.7	14
37.9	10
41.4	45
41.6	31
43.5	15
51.4	19
68.0	17
68.1	11
75.7	11

***

6.
Structure and simulated XRD peak list of GeH3SBr3 (a structure optimized by DFT (PBE); Cu Kα (weighted mean of Kα1 and Kα2)).
Peak positions follow from Bragg's law for the DFT cell and can differ from measured ones.

Cell and atoms:
a = 6.0962 Å, b = 7.9025 Å, c = 8.7382 Å
α = 89.96°, β = 84.68°, γ = 89.98°
Fractional positions:
Ge: 0.0000 0.0000 0.0000
Ge: 0.0001 0.4586 0.5000
H: 0.2545 0.6078 0.9059
H: 0.2544 0.8519 0.4060
H: 0.5275 0.5001 0.8068
H: 0.5272 0.9599 0.3067
H: 0.5426 0.6682 0.9817
H: 0.5428 0.7918 0.4817
S: 0.4348 0.5177 0.9583
S: 0.4346 0.9422 0.4582
Br: 0.0072 0.2105 0.3252
Br: 0.0077 0.2487 0.8255
Br: 0.0385 0.7673 0.7886
Br: 0.0389 0.6920 0.2888
Br: 0.5769 0.4911 0.5436
Br: 0.5767 0.9684 0.0435

The 12 most intense peaks (2θ from 10° to 90°), in order of rising 2θ:
2θ (°)	intensity
14.6	52
15.1	85
20.4	46
24.0	36
26.3	30
26.9	51
29.4	62
30.6	100
32.9	18
34.9	20
41.5	41
44.3	35